Starting from the GGA-PBE geometry in Alexandria, the powder XRD pattern of AcDy2Y2 was computed for a wavelength of 1.5418 Å.

The 12 most intense peaks (2θ from 15° to 90°), low angle first:
2θ (°)	I_rel	(hkl)
25.23	19	1 1 1
29.47	35	1 3 1
30.99	100	1 5 -1
31.15	45	2 2 0
31.30	95	2 0 -2
36.45	31	2 4 0
43.48	12	3 3 -1
45.51	22	1 7 1
50.54	13	2 0 2
55.59	34	3 5 -3
60.41	15	3 5 1
60.55	23	4 0 0

Cell and atoms:
```
data_AcDy2Y2
_cell_length_a 6.7664
_cell_length_b 16.7252
_cell_length_c 6.7419
_cell_angle_alpha 90.00
_cell_angle_beta 115.34
_cell_angle_gamma 90.00
_symmetry_space_group_name_H-M 'C 1 2/c 1'
_symmetry_Int_Tables_number 15
_symmetry_space_group_name_Hall '-C 2yc'
loop_
_atom_site_label
_atom_site_type_symbol
_atom_site_fract_x
_atom_site_fract_y
_atom_site_fract_z
Ac1 Ac 0.0000 0.1518 0.2500
Dy1 Dy 0.2442 0.4626 0.0032
Y1 Y 0.0000 0.2506 0.7500
Y2 Y 0.0000 0.3522 0.2500
```